V2CdSnO8: simulated X-ray diffraction stick pattern (copper Kα), based on a PBE+U-relaxed structure.
Lines closer than 0.1° are merged.

Structural model:
```
data_V2CdSnO8
_symmetry_space_group_name_H-M 'P -3 m 1'
_symmetry_Int_Tables_number 164
_symmetry_space_group_name_Hall '-P 3 2"'
_cell_length_a 5.7242
_cell_length_b 5.7242
_cell_length_c 6.2793
_cell_angle_alpha 90.00
_cell_angle_beta 90.00
_cell_angle_gamma 120.00
loop_
_atom_site_label
_atom_site_fract_x
_atom_site_fract_y
_atom_site_fract_z
V1 0.3333 0.6667 0.2906
Cd1 0.0000 0.0000 0.5000
Sn1 0.0000 0.0000 0.0000
O1 0.1596 0.3191 0.2126
O2 0.3333 0.6667 0.5505
```

Peak list (10 most intense, 2θ = 10–90°, by angle)
two_theta  I (rel.)
17.89  100
22.86  40
31.25  82
33.79  71
42.75  25
46.69  46
55.62  15
57.26  35
65.19  16
68.15  17

Rb3Fe2Cl2F5: simulated X-ray diffraction stick pattern (copper Kα), based on a PBE+U-relaxed structure.
Lines closer than 0.1° are merged.

Structural model:
```
data_Rb3Fe2Cl2F5
_symmetry_space_group_name_H-M 'I 4/m m m'
_symmetry_Int_Tables_number 139
_symmetry_space_group_name_Hall '-I 4 2'
_cell_length_a 4.3738
_cell_length_b 4.3738
_cell_length_c 24.3910
_cell_angle_alpha 90.00
_cell_angle_beta 90.00
_cell_angle_gamma 90.00
loop_
_atom_site_label
_atom_site_fract_x
_atom_site_fract_y
_atom_site_fract_z
Rb1 0.0000 0.0000 0.0000
Rb2 0.0000 0.0000 0.1702
Fe1 0.0000 0.0000 0.4151
Cl1 0.0000 0.0000 0.3127
F1 0.0000 0.0000 0.5000
F2 0.0000 0.5000 0.0839
```

Peak list (10 most intense, 2θ = 10–90°, by angle)
two_theta  I (rel.)
27.39  64
28.87  100
32.86  60
36.51  58
41.28  71
50.25  25
53.74  28
53.98  22
59.81  22
62.37  28